# MnO2
Simulated PXRD pattern, Cu Kα. Input: a DFT-relaxed cell (PBE+U, Alexandria).

Cell and atoms:
```
6
Lattice="2.912 0.000 0.000 0.000 3.867 0.000 0.000 0.000 6.178" Properties=species:S:1:pos:R:3 pbc="T T T"
Mn 0.728 0.967 0.969
Mn 2.184 2.900 5.209
O 0.728 2.900 0.474
O 0.728 2.900 4.089
O 2.184 0.967 2.089
O 2.184 0.967 5.704
```

Peak list (10 most intense, 15° ≤ 2θ ≤ 90°, in order of rising 2θ)
index, two_theta, d_spacing, intensity
0 1 1, 27.21, 3.278, 100.0
1 0 1, 34.04, 2.634, 30.7
1 1 1, 41.48, 2.177, 13.5
1 0 2, 42.67, 2.119, 60.4
0 2 0, 47.00, 1.933, 27.0
1 2 1, 59.29, 1.558, 11.4
1 1 3, 60.00, 1.542, 32.3
2 0 0, 63.95, 1.456, 9.1
1 2 2, 65.34, 1.428, 27.3
2 1 1, 70.82, 1.331, 10.0